NaGe3Pt3: calculated PXRD pattern (CuKα), based on a DFT-relaxed cell (GGA-PBE, Alexandria).

Peak list (10 most intense, 10 to 80 degrees two-theta, low angle first)
- hkl 1 1 0, 2θ = 18.15°, rel. 100
- hkl 2 0 0, 2θ = 25.77°, rel. 32
- hkl 2 1 0, 2θ = 28.88°, rel. 59
- hkl 2 1 1, 2θ = 31.70°, rel. 75
- hkl 2 2 0, 2θ = 36.77°, rel. 17
- hkl 3 1 0, 2θ = 41.30°, rel. 25
- hkl 2 2 2, 2θ = 45.45°, rel. 66
- hkl 3 2 1, 2θ = 49.32°, rel. 43
- hkl 4 0 0, 2θ = 52.98°, rel. 35
- hkl 4 4 0, 2θ = 78.22°, rel. 23

abc: 6.913 6.913 6.913
angles: 90.00 90.00 90.00
Space group Pm-3n (No. 223)
Asymmetric unit:
1 Na 0.000 0.000 0.000 x2
2 Ge 0.000 0.250 0.500 x6
3 Pt 0.000 0.500 0.250 x6

Na2Ge4Pt5: calculated PXRD pattern (CuKα), based on a DFT-relaxed cell (GGA-PBE, Alexandria).

Peak list (10 most intense, 10 to 80 degrees two-theta, low angle first)
- hkl 0 2 0, 2θ = 17.83°, rel. 98
- hkl 1 1 1, 2θ = 19.14°, rel. 56
- hkl 0 0 4, 2θ = 23.07°, rel. 46
- hkl 0 2 4, 2θ = 29.31°, rel. 34
- hkl 0 4 0, 2θ = 36.07°, rel. 59
- hkl 2 2 0, 2θ = 36.97°, rel. 59
- hkl 2 0 4, 2θ = 39.91°, rel. 52
- hkl 0 4 4, 2θ = 43.27°, rel. 77
- hkl 2 2 4, 2θ = 44.03°, rel. 100
- hkl 0 0 8, 2θ = 47.15°, rel. 32

abc: 5.575 9.950 15.419
angles: 90.00 90.00 90.00
Space group Fmmm (No. 69)
Asymmetric unit:
1 Na 0.000 0.000 0.118 x8
2 Ge 0.000 0.159 0.371 x16
3 Pt 0.000 0.000 0.500 x4
4 Pt 0.250 0.250 0.000 x8
5 Pt 0.250 0.250 0.250 x8

Na2Ge5Pt3: calculated PXRD pattern (CuKα), based on a DFT-relaxed cell (GGA-PBE, Alexandria).

Peak list (10 most intense, 10 to 80 degrees two-theta, low angle first)
- hkl 0 4 1, 2θ = 19.32°, rel. 52
- hkl 0 6 0, 2θ = 21.71°, rel. 49
- hkl 1 1 1, 2θ = 24.69°, rel. 63
- hkl 0 6 1, 2θ = 25.27°, rel. 36
- hkl 0 2 2, 2θ = 26.77°, rel. 76
- hkl 1 3 2, 2θ = 35.07°, rel. 100
- hkl 1 7 1, 2θ = 35.51°, rel. 46
- hkl 2 0 0, 2θ = 42.15°, rel. 70
- hkl 1 3 3, 2θ = 46.02°, rel. 50
- hkl 1 9 2, 2θ = 47.42°, rel. 96

abc: 4.288 24.563 6.923
angles: 90.00 90.00 90.00
Space group Cmc2_1 (No. 36)
Asymmetric unit:
1 Na 0.000 0.018 0.000 x4
2 Na 0.000 0.324 0.974 x4
3 Ge 0.000 0.103 0.637 x4
4 Ge 0.000 0.206 0.187 x4
5 Ge 0.000 0.206 0.766 x4
6 Ge 0.000 0.384 0.525 x4
7 Ge 0.000 0.454 0.839 x4
8 Pt 0.000 0.105 0.266 x4
9 Pt 0.000 0.279 0.476 x4
10 Pt 0.000 0.444 0.213 x4

Na4Ge3Pt2: calculated PXRD pattern (CuKα), based on a DFT-relaxed cell (GGA-PBE, Alexandria).

Peak list (10 most intense, 10 to 80 degrees two-theta, low angle first)
- hkl 2 0 0, 2θ = 11.23°, rel. 65
- hkl 0 0 1, 2θ = 14.41°, rel. 80
- hkl 2 0 1, 2θ = 19.04°, rel. 100
- hkl 2 0 2, 2θ = 32.14°, rel. 25
- hkl 5 1 0, 2θ = 35.83°, rel. 30
- hkl 1 1 2, 2θ = 37.29°, rel. 23
- hkl 5 1 -1, 2θ = 37.85°, rel. 50
- hkl 3 1 -2, 2θ = 39.31°, rel. 52
- hkl 0 2 0, 2θ = 43.83°, rel. 23
- hkl 7 1 0, 2θ = 45.90°, rel. 25

abc: 15.820 4.131 6.167
angles: 90.00 94.82 90.00
Space group C2/m (No. 12)
Asymmetric unit:
1 Na 0.080 0.000 0.384 x4
2 Na 0.220 0.500 0.202 x4
3 Ge 0.000 0.500 0.000 x2
4 Ge 0.137 0.500 0.719 x4
5 Pt 0.083 0.000 0.896 x4

NaPu4Ge4: calculated PXRD pattern (CuKα), based on a DFT-relaxed cell (GGA-PBE, Alexandria).

Peak list (10 most intense, 10 to 80 degrees two-theta, low angle first)
- hkl 1 1 0, 2θ = 14.62°, rel. 45
- hkl 1 2 1, 2θ = 28.04°, rel. 25
- hkl 3 1 0, 2θ = 33.07°, rel. 100
- hkl 2 2 1, 2θ = 33.49°, rel. 57
- hkl 3 0 1, 2θ = 35.13°, rel. 15
- hkl 1 3 1, 2θ = 36.71°, rel. 39
- hkl 2 1 2, 2θ = 39.36°, rel. 18
- hkl 2 3 1, 2θ = 41.14°, rel. 17
- hkl 1 2 3, 2θ = 53.79°, rel. 16
- hkl 4 1 2, 2θ = 54.62°, rel. 16

abc: 8.569 8.569 5.709
angles: 90.00 90.00 90.00
Space group P4_2/n (No. 86, origin choice 2)
Asymmetric unit:
1 Na 0.250 0.250 0.250 x2
2 Pu 0.088 0.837 0.595 x8
3 Ge 0.038 0.130 0.894 x8

Na2PuGeSe4: calculated PXRD pattern (CuKα), based on a DFT-relaxed cell (GGA-PBE, Alexandria).

Peak list (10 most intense, 10 to 80 degrees two-theta, low angle first)
- hkl 0 0 1, 2θ = 12.92°, rel. 99
- hkl 1 1 0, 2θ = 25.15°, rel. 40
- hkl 1 1 1, 2θ = 30.29°, rel. 100
- hkl 2 0 -2, 2θ = 30.43°, rel. 49
- hkl 1 1 2, 2θ = 39.54°, rel. 18
- hkl 1 1 -3, 2θ = 43.35°, rel. 34
- hkl 3 1 -1, 2θ = 43.58°, rel. 38
- hkl 0 2 0, 2θ = 43.70°, rel. 19
- hkl 3 1 -2, 2θ = 45.75°, rel. 18
- hkl 2 2 -2, 2θ = 54.18°, rel. 19

abc: 7.200 4.143 7.249
angles: 90.00 108.84 90.00
Space group P2/m (No. 10)
Asymmetric unit:
1 Na 0.000 0.000 0.000 x1
2 Na 0.500 0.500 0.000 x1
3 Pu 0.000 0.500 0.500 x1
4 Ge 0.500 0.000 0.500 x1
5 Se 0.243 0.000 0.725 x2
6 Se 0.256 0.500 0.280 x2

RbNa2Ge17: calculated PXRD pattern (CuKα), based on a DFT-relaxed cell (GGA-PBE, Alexandria).

Peak list (10 most intense, 10 to 80 degrees two-theta, low angle first)
- hkl 2 2 2, 2θ = 19.48°, rel. 17
- hkl 4 0 0, 2θ = 22.53°, rel. 17
- hkl 4 2 2, 2θ = 27.68°, rel. 30
- hkl 5 1 1, 2θ = 29.40°, rel. 69
- hkl 4 4 0, 2θ = 32.07°, rel. 33
- hkl 5 3 1, 2θ = 33.58°, rel. 44
- hkl 7 3 3, 2θ = 47.12°, rel. 33
- hkl 6 6 0, 2θ = 48.96°, rel. 100
- hkl 5 5 5, 2θ = 50.03°, rel. 26
- hkl 10 6 4, 2θ = 74.03°, rel. 26

abc: 15.787 15.787 15.787
angles: 90.00 90.00 90.00
Space group Fd-3m (No. 227, origin choice 2)
Asymmetric unit:
1 Rb 0.125 0.125 0.125 x8
2 Na 0.000 0.000 0.500 x16
3 Ge 0.032 0.032 0.718 x32
4 Ge 0.068 0.068 0.870 x96
5 Ge 0.125 0.125 0.625 x8

Na2Ge7Rh12: calculated PXRD pattern (CuKα), based on a DFT-relaxed cell (GGA-PBE, Alexandria).

Peak list (10 most intense, 10 to 80 degrees two-theta, low angle first)
- hkl 1 0 0, 2θ = 10.34°, rel. 25
- hkl 1 1 0, 2θ = 17.95°, rel. 28
- hkl 2 1 1, 2θ = 35.94°, rel. 100
- hkl 3 0 1, 2θ = 39.00°, rel. 18
- hkl 1 3 1, 2θ = 44.58°, rel. 52
- hkl 0 0 2, 2θ = 46.18°, rel. 49
- hkl 4 0 1, 2θ = 48.43°, rel. 15
- hkl 1 4 0, 2θ = 48.76°, rel. 26
- hkl 3 2 2, 2θ = 67.39°, rel. 12
- hkl 1 4 2, 2θ = 69.39°, rel. 18

abc: 9.8829 9.8829 3.9343
angles: 90.00 90.00 120.00
Space group P-6 (No. 174)
Asymmetric unit:
1 Na 0.0000 0.0000 0.0000 x1
2 Na 0.3333 0.6667 0.5000 x1
3 Ge 0.0763 0.4536 0.0000 x3
4 Ge 0.2614 0.2182 0.5000 x3
5 Ge 0.6667 0.3333 0.0000 x1
6 Rh 0.0525 0.2833 0.5000 x3
7 Rh 0.1016 0.7099 0.0000 x3
8 Rh 0.3887 0.1755 0.0000 x3
9 Rh 0.5454 0.4275 0.5000 x3

NaGe3Rh3: calculated PXRD pattern (CuKα), based on a DFT-relaxed cell (GGA-PBE, Alexandria).

Peak list (10 most intense, 10 to 80 degrees two-theta, low angle first)
- hkl 1 1 0, 2θ = 18.57°, rel. 100
- hkl 2 0 0, 2θ = 26.39°, rel. 37
- hkl 2 1 1, 2θ = 32.46°, rel. 85
- hkl 2 2 0, 2θ = 37.66°, rel. 16
- hkl 3 1 0, 2θ = 42.31°, rel. 24
- hkl 2 2 2, 2θ = 46.57°, rel. 65
- hkl 3 2 1, 2θ = 50.55°, rel. 48
- hkl 4 0 0, 2θ = 54.32°, rel. 37
- hkl 4 1 1, 2θ = 57.91°, rel. 14
- hkl 5 1 0, 2θ = 71.17°, rel. 15

abc: 6.756 6.756 6.756
angles: 90.00 90.00 90.00
Space group Pm-3n (No. 223)
Asymmetric unit:
1 Na 0.000 0.000 0.000 x2
2 Ge 0.000 0.250 0.500 x6
3 Rh 0.000 0.500 0.250 x6

NaGe2Rh4: calculated PXRD pattern (CuKα), based on a DFT-relaxed cell (GGA-PBE, Alexandria).

Peak list (10 most intense, 10 to 80 degrees two-theta, low angle first)
- hkl 1 1 0, 2θ = 16.32°, rel. 93
- hkl 2 1 1, 2θ = 34.75°, rel. 62
- hkl 3 1 0, 2θ = 37.01°, rel. 26
- hkl 2 2 1, 2θ = 40.43°, rel. 65
- hkl 3 1 1, 2θ = 43.87°, rel. 100
- hkl 0 0 2, 2θ = 46.41°, rel. 35
- hkl 3 2 1, 2θ = 48.67°, rel. 14
- hkl 4 1 0, 2θ = 48.89°, rel. 34
- hkl 5 2 0, 2θ = 65.44°, rel. 15
- hkl 4 1 2, 2θ = 69.70°, rel. 23

abc: 7.681 7.681 3.913
angles: 90.00 90.00 90.00
Space group P4_2/mnm (No. 136)
Asymmetric unit:
1 Na 0.000 0.000 0.000 x2
2 Ge 0.227 0.227 0.500 x4
3 Rh 0.078 0.658 0.500 x8

Na2GeS2: calculated PXRD pattern (CuKα), based on a DFT-relaxed cell (GGA-PBE, Alexandria).

Peak list (10 most intense, 10 to 80 degrees two-theta, low angle first)
- hkl 0 2 1, 2θ = 17.06°, rel. 63
- hkl 0 4 0, 2θ = 17.89°, rel. 30
- hkl 0 0 2, 2θ = 29.27°, rel. 33
- hkl 0 6 1, 2θ = 30.77°, rel. 20
- hkl 1 3 1, 2θ = 31.42°, rel. 31
- hkl 1 5 0, 2θ = 33.18°, rel. 100
- hkl 0 4 2, 2θ = 34.52°, rel. 21
- hkl 1 1 2, 2θ = 38.57°, rel. 18
- hkl 1 5 2, 2θ = 44.83°, rel. 36
- hkl 2 0 0, 2θ = 49.46°, rel. 19

abc: 3.686 19.828 6.102
angles: 90.00 90.00 90.00
Space group Cmc2_1 (No. 36)
Asymmetric unit:
1 Na 0.000 0.023 0.000 x4
2 Na 0.000 0.189 0.207 x4
3 Ge 0.000 0.387 0.172 x4
4 S 0.000 0.194 0.694 x4
5 S 0.000 0.419 0.805 x4

Na5Ge2S5: calculated PXRD pattern (CuKα), based on a DFT-relaxed cell (GGA-PBE, Alexandria).

Peak list (10 most intense, 10 to 80 degrees two-theta, low angle first)
- hkl 2 0 0, 2θ = 14.76°, rel. 46
- hkl 2 0 -2, 2θ = 18.38°, rel. 54
- hkl 1 1 0, 2θ = 22.38°, rel. 66
- hkl 3 1 0, 2θ = 30.84°, rel. 55
- hkl 3 1 -2, 2θ = 31.37°, rel. 100
- hkl 2 0 -4, 2θ = 32.62°, rel. 46
- hkl 2 0 3, 2θ = 34.14°, rel. 96
- hkl 0 2 0, 2θ = 42.98°, rel. 55
- hkl 5 1 1, 2θ = 46.93°, rel. 66
- hkl 5 1 -4, 2θ = 47.10°, rel. 67

abc: 12.785 4.209 11.027
angles: 90.00 110.16 90.00
Space group C2/m (No. 12)
Asymmetric unit:
1 Na 0.000 0.000 0.000 x2
2 Na 0.154 0.000 0.547 x4
3 Na 0.238 0.000 0.861 x4
4 Ge 0.054 0.500 0.295 x4
5 S 0.000 0.500 0.500 x2
6 S 0.101 0.500 0.890 x4
7 S 0.161 0.000 0.287 x4